1.
Structure and theoretical X-ray powder pattern of NdMg16Al12 (a structure optimized by DFT (PBE); Cu Kα X-rays).
Kinematic intensities with the Lorentz-polarization factor, no thermal factor.

Cell and atoms:
Cell lengths 9.150, 9.150, 9.150 Å; angles 109.47, 109.47, 109.47 degrees
Positions (direct):
Nd  0.000  0.000  0.000
Mg  0.000  0.000  0.362
Mg  0.000  0.320  0.603
Mg  0.000  0.362  0.000
Mg  0.000  0.603  0.320
Mg  0.283  0.680  0.680
Mg  0.320  0.000  0.603
Mg  0.320  0.603  0.000
Mg  0.362  0.000  0.000
Mg  0.397  0.397  0.717
Mg  0.397  0.717  0.397
Mg  0.603  0.000  0.320
Mg  0.603  0.320  0.000
Mg  0.638  0.638  0.638
Mg  0.680  0.283  0.680
Mg  0.680  0.680  0.283
Mg  0.717  0.397  0.397
Al  0.000  0.629  0.812
Al  0.000  0.812  0.629
Al  0.183  0.371  0.371
Al  0.188  0.188  0.817
Al  0.188  0.817  0.188
Al  0.371  0.183  0.371
Al  0.371  0.371  0.183
Al  0.629  0.000  0.812
Al  0.629  0.812  0.000
Al  0.812  0.000  0.629
Al  0.812  0.629  0.000
Al  0.817  0.188  0.188

Main lines, by angle (2θ from 15° to 90°):
| Position (°2θ) | d_spacing | I (rel.) |
| --- | --- | --- |
| 20.6 | 4.313 | 170 |
| 31.7 | 2.824 | 205 |
| 36.1 | 2.490 | 1000 |
| 40.0 | 2.253 | 207 |
| 41.9 | 2.157 | 158 |
| 64.8 | 1.438 | 276 |

2.
Structure and theoretical X-ray powder pattern of MgAu2F8 (a structure optimized by DFT (PBE); Cu Kα X-rays).
Kinematic intensities with the Lorentz-polarization factor, no thermal factor.

Cell and atoms:
Cell lengths 5.607, 5.825, 11.034 Å; angles 90.00, 109.56, 90.00 degrees
Positions (direct):
Mg  0.000  0.000  0.000
Mg  0.000  0.500  0.500
Au  0.371  0.224  0.328
Au  0.371  0.276  0.828
Au  0.629  0.724  0.172
Au  0.629  0.776  0.672
F  0.074  0.125  0.182
F  0.074  0.375  0.682
F  0.163  0.230  0.444
F  0.163  0.270  0.944
F  0.325  0.682  0.528
F  0.325  0.818  0.028
F  0.427  0.714  0.283
F  0.427  0.786  0.783
F  0.573  0.214  0.217
F  0.573  0.286  0.717
F  0.675  0.182  0.972
F  0.675  0.318  0.472
F  0.837  0.730  0.056
F  0.837  0.770  0.556
F  0.926  0.625  0.318
F  0.926  0.875  0.818

Main lines, by angle (2θ from 15° to 90°):
| Position (°2θ) | d_spacing | I (rel.) |
| --- | --- | --- |
| 16.8 | 5.284 | 516 |
| 22.7 | 3.914 | 690 |
| 22.9 | 3.879 | 921 |
| 24.9 | 3.583 | 1000 |
| 27.8 | 3.207 | 496 |
| 30.7 | 2.913 | 432 |

3.
Structure and theoretical X-ray powder pattern of Ta3Ga2 (a structure optimized by DFT (PBE); Cu Kα X-rays).
Kinematic intensities with the Lorentz-polarization factor, no thermal factor.

Cell and atoms:
Cell lengths 6.910, 6.910, 3.517 Å; angles 90.00, 90.00, 90.00 degrees
Positions (direct):
Ta  0.000  0.000  0.000
Ta  0.175  0.325  0.500
Ta  0.325  0.825  0.500
Ta  0.500  0.500  0.000
Ta  0.675  0.175  0.500
Ta  0.825  0.675  0.500
Ga  0.126  0.626  0.000
Ga  0.374  0.126  0.000
Ga  0.626  0.874  0.000
Ga  0.874  0.374  0.000

Main lines, by angle (2θ from 15° to 90°):
| Position (°2θ) | d_spacing | I (rel.) |
| --- | --- | --- |
| 31.3 | 2.855 | 216 |
| 36.5 | 2.465 | 680 |
| 36.8 | 2.443 | 203 |
| 38.8 | 2.321 | 1000 |
| 41.3 | 2.185 | 546 |
| 68.5 | 1.370 | 245 |

4.
Structure and theoretical X-ray powder pattern of PrCuO2 (a structure optimized by DFT (PBE); Cu Kα X-rays).
Kinematic intensities with the Lorentz-polarization factor, no thermal factor.

Cell and atoms:
Cell lengths 3.800, 3.800, 17.176 Å; angles 90.00, 90.00, 120.00 degrees
Positions (direct):
Pr  0.000  0.000  0.000
Pr  0.333  0.667  0.667
Pr  0.667  0.333  0.333
Cu  0.000  0.000  0.500
Cu  0.333  0.667  0.167
Cu  0.667  0.333  0.833
O  0.000  0.000  0.394
O  0.000  0.000  0.606
O  0.333  0.667  0.061
O  0.333  0.667  0.273
O  0.667  0.333  0.727
O  0.667  0.333  0.939

Main lines, by angle (2θ from 15° to 90°):
| Position (°2θ) | d_spacing | I (rel.) |
| --- | --- | --- |
| 15.5 | 5.725 | 240 |
| 29.1 | 3.073 | 1000 |
| 34.3 | 2.612 | 439 |
| 47.9 | 1.900 | 300 |
| 50.8 | 1.798 | 224 |
| 58.3 | 1.583 | 210 |

5.
Structure and theoretical X-ray powder pattern of CsLaMg6 (a structure optimized by DFT (PBE); Cu Kα X-rays).
Kinematic intensities with the Lorentz-polarization factor, no thermal factor.

Cell and atoms:
Cell lengths 5.371, 7.523, 11.883 Å; angles 90.00, 90.00, 90.00 degrees
Positions (direct):
Cs  0.000  0.000  0.000
Cs  0.000  0.500  0.500
La  0.500  0.000  0.809
La  0.500  0.500  0.309
Mg  0.000  0.000  0.486
Mg  0.000  0.247  0.240
Mg  0.000  0.253  0.740
Mg  0.000  0.500  0.986
Mg  0.000  0.747  0.740
Mg  0.000  0.753  0.240
Mg  0.500  0.000  0.308
Mg  0.500  0.205  0.563
Mg  0.500  0.295  0.063
Mg  0.500  0.500  0.808
Mg  0.500  0.705  0.063
Mg  0.500  0.795  0.563

Main lines, by angle (2θ from 15° to 90°):
| Position (°2θ) | d_spacing | I (rel.) |
| --- | --- | --- |
| 21.7 | 4.103 | 364 |
| 22.3 | 3.984 | 373 |
| 30.5 | 2.935 | 376 |
| 32.7 | 2.735 | 1000 |
| 33.4 | 2.686 | 293 |
| 34.5 | 2.600 | 276 |

6.
Structure and theoretical X-ray powder pattern of BaGe2Ru2 (a structure optimized by DFT (PBE); Cu Kα X-rays).
Kinematic intensities with the Lorentz-polarization factor, no thermal factor.

Cell and atoms:
Cell lengths 8.341, 7.187, 6.233 Å; angles 76.49, 56.91, 46.60 degrees
Positions (direct):
Ba  0.125  0.125  0.125
Ba  0.875  0.875  0.875
Ge  0.198  0.552  0.198
Ge  0.448  0.802  0.448
Ge  0.552  0.198  0.552
Ge  0.802  0.448  0.802
Ru  0.252  0.252  0.498
Ru  0.498  0.498  0.252
Ru  0.502  0.502  0.748
Ru  0.748  0.748  0.502

Main lines, by angle (2θ from 15° to 90°):
| Position (°2θ) | d_spacing | I (rel.) |
| --- | --- | --- |
| 26.3 | 3.384 | 533 |
| 31.0 | 2.889 | 689 |
| 32.4 | 2.765 | 449 |
| 33.6 | 2.664 | 296 |
| 35.7 | 2.517 | 1000 |
| 45.8 | 1.981 | 523 |